No. 1
RbLi2Cr2B3O9: theoretical powder diffractogram (λ = 1.5418 Å (Cu Kα)), based on the GGA+U geometry in the Materials Project.
No peak broadening, texture or thermal motion is included.

Most intense lines, 2θ = 10–90°, most intense first:
| 2theta | I_rel |
| --- | --- |
| 23.8 | 100 |
| 34.0 | 97 |
| 26.7 | 75 |
| 27.6 | 59 |
| 31.5 | 44 |
| 13.7 | 40 |
| 16.7 | 28 |
| 36.7 | 27 |
| 40.3 | 24 |
| 33.9 | 24 |

Structure:
Cell lengths 5.6727, 5.2953, 12.9315 Å; angles 90.00, 92.37, 90.00 degrees
Sites, in units of the cell vectors:
Rb 0.0000 0.2472 0.2500
Rb 0.0000 0.7528 0.7500
Li 0.4882 0.0994 0.3542
Li 0.4882 0.9006 0.8542
Li 0.5118 0.0994 0.1458
Li 0.5118 0.9006 0.6458
Cr 0.2668 0.3545 0.5291
Cr 0.2668 0.6455 0.0291
Cr 0.7332 0.3545 0.9709
Cr 0.7332 0.6455 0.4709
B 0.2156 0.1965 0.9602
B 0.2156 0.8035 0.4602
B 0.5000 0.3926 0.7500
B 0.5000 0.6074 0.2500
B 0.7844 0.1965 0.5398
B 0.7844 0.8035 0.0398
O 0.0708 0.3870 0.9197
O 0.0708 0.6130 0.4197
O 0.1934 0.0528 0.4400
O 0.1934 0.9472 0.9400
O 0.3911 0.2917 0.0309
O 0.3911 0.7083 0.5309
O 0.4076 0.2456 0.6660
O 0.4076 0.7544 0.1660
O 0.5000 0.3507 0.2500
O 0.5000 0.6493 0.7500
O 0.5924 0.2456 0.8340
O 0.5924 0.7544 0.3340
O 0.6089 0.2917 0.4691
O 0.6089 0.7083 0.9691
O 0.8066 0.0528 0.0600
O 0.8066 0.9472 0.5600
O 0.9292 0.3870 0.5803
O 0.9292 0.6130 0.0803


No. 2
LiMnF4: theoretical powder diffractogram (λ = 1.5418 Å (Cu Kα)), based on the GGA+U geometry in the Materials Project.
No peak broadening, texture or thermal motion is included.

Most intense lines, 2θ = 10–90°, most intense first:
| 2theta | I_rel |
| --- | --- |
| 25.9 | 100 |
| 51.9 | 63 |
| 20.6 | 62 |
| 39.8 | 46 |
| 16.1 | 42 |
| 65.4 | 33 |
| 41.5 | 25 |
| 53.3 | 22 |
| 27.7 | 22 |
| 30.6 | 21 |

Structure:
Cell lengths 6.0143, 10.1793, 10.1864 Å; angles 85.03, 72.83, 72.90 degrees
Sites, in units of the cell vectors:
Li 0.0000 0.0000 0.0000
Li 0.0001 0.2526 0.2535
Li 0.0114 0.7494 0.7540
Li 0.2496 0.5032 0.0016
Li 0.5056 0.5003 0.5003
Li 0.7514 0.2532 0.7482
Li 0.7529 0.0075 0.5017
Li 0.7556 0.7539 0.2487
Mn 0.2416 0.7582 0.2499
Mn 0.2434 0.0018 0.5039
Mn 0.2578 0.2583 0.7500
Mn 0.5017 0.7485 0.7490
Mn 0.5139 0.0034 0.9948
Mn 0.5153 0.2479 0.2508
Mn 0.7597 0.5021 0.0034
Mn 0.9950 0.5041 0.4946
F 0.0115 0.9146 0.6025
F 0.0190 0.1019 0.4128
F 0.1122 0.6680 0.1514
F 0.1179 0.1589 0.6618
F 0.1845 0.8374 0.8492
F 0.1871 0.3481 0.3367
F 0.2229 0.4164 0.5944
F 0.2281 0.6007 0.4069
F 0.2729 0.1010 0.9075
F 0.2726 0.9158 0.0933
F 0.3703 0.6505 0.6593
F 0.3716 0.1606 0.1527
F 0.3907 0.3556 0.8394
F 0.3906 0.8442 0.3461
F 0.4848 0.9045 0.5912
F 0.4860 0.0881 0.4045
F 0.5298 0.4030 0.0897
F 0.5327 0.5886 0.9029
F 0.5677 0.6578 0.1607
F 0.5741 0.1688 0.6499
F 0.6411 0.3378 0.3515
F 0.6417 0.8482 0.8366
F 0.7402 0.9027 0.0846
F 0.7457 0.0918 0.8972
F 0.7731 0.5925 0.3970
F 0.7788 0.4040 0.5850
F 0.8314 0.6624 0.6514
F 0.8344 0.1498 0.1629
F 0.9243 0.8557 0.3408
F 0.9280 0.3438 0.8479
F 0.9771 0.6019 0.9137
F 0.9814 0.4126 0.1008


No. 3
MgTi2V2O8: theoretical powder diffractogram (λ = 1.5418 Å (Cu Kα)), based on the GGA+U geometry in the Materials Project.
No peak broadening, texture or thermal motion is included.

Most intense lines, 2θ = 10–90°, most intense first:
| 2theta | I_rel |
| --- | --- |
| 30.4 | 100 |
| 32.7 | 99 |
| 21.8 | 75 |
| 31.0 | 55 |
| 34.3 | 47 |
| 29.1 | 35 |
| 48.6 | 30 |
| 50.6 | 29 |
| 46.8 | 29 |
| 55.5 | 28 |

Structure:
Cell lengths 5.7938, 5.7938, 6.4951 Å; angles 119.93, 119.93, 60.96 degrees
Sites, in units of the cell vectors:
Mg 0.0000 0.0000 0.0000
Ti 0.3487 0.3487 0.3569
Ti 0.6836 0.6836 0.9368
V 0.1867 0.1867 0.6881
V 0.7472 0.7472 0.4723
O 0.0105 0.0105 0.7013
O 0.1223 0.1223 0.3714
O 0.4647 0.4647 0.7120
O 0.4976 0.9549 0.1815
O 0.5035 0.5035 0.3145
O 0.5765 0.9877 0.8120
O 0.9549 0.4976 0.1815
O 0.9877 0.5765 0.8120


No. 4
MgCo5P8O28: theoretical powder diffractogram (λ = 1.5418 Å (Cu Kα)), based on the GGA+U geometry in the Materials Project.
No peak broadening, texture or thermal motion is included.

Most intense lines, 2θ = 10–90°, most intense first:
| 2theta | I_rel |
| --- | --- |
| 26.9 | 100 |
| 18.2 | 80 |
| 17.4 | 48 |
| 34.4 | 46 |
| 21.0 | 43 |
| 11.8 | 41 |
| 27.3 | 36 |
| 27.4 | 35 |
| 33.1 | 34 |
| 23.7 | 32 |

Structure:
Cell lengths 7.5542, 7.7555, 10.4503 Å; angles 72.04, 85.51, 84.80 degrees
Sites, in units of the cell vectors:
Mg 0.0000 0.0000 0.0000
Co 0.0336 0.4011 0.1600
Co 0.2509 0.7555 0.5608
Co 0.2990 0.7209 0.0836
Co 0.7538 0.0768 0.2454
Co 0.7672 0.0606 0.7467
P 0.0130 0.1470 0.4647
P 0.0346 0.6770 0.8569
P 0.2451 0.4566 0.3989
P 0.3499 0.0957 0.1293
P 0.3625 0.1104 0.8461
P 0.6784 0.7121 0.4695
P 0.7076 0.7105 0.1817
P 0.8047 0.3537 0.9232
O 0.0879 0.3263 0.4744
O 0.1235 0.6124 0.9942
O 0.1629 0.9989 0.4813
O 0.1689 0.7233 0.7376
O 0.1882 0.5332 0.2494
O 0.2054 0.6168 0.4588
O 0.2191 0.9448 0.1529
O 0.2366 0.9543 0.9018
O 0.2411 0.2719 0.1307
O 0.2819 0.2846 0.7598
O 0.4241 0.3610 0.4187
O 0.4420 0.1301 0.9810
O 0.4990 0.7459 0.5418
O 0.5020 0.0586 0.2229
O 0.5324 0.0380 0.7762
O 0.5513 0.7410 0.0940
O 0.6225 0.4362 0.9256
O 0.6293 0.6715 0.3331
O 0.7732 0.8899 0.4204
O 0.7874 0.5554 0.5574
O 0.8224 0.8779 0.1472
O 0.8261 0.5427 0.1743
O 0.8522 0.1968 0.8558
O 0.8650 0.1067 0.5762
O 0.8910 0.2522 0.0648
O 0.9017 0.8398 0.8612
O 0.9357 0.1983 0.3230
O 0.9421 0.5073 0.8449


No. 5
V2O2F3: theoretical powder diffractogram (λ = 1.5418 Å (Cu Kα)), based on the GGA+U geometry in the Materials Project.
No peak broadening, texture or thermal motion is included.

Most intense lines, 2θ = 10–90°, most intense first:
| 2theta | I_rel |
| --- | --- |
| 17.9 | 100 |
| 25.5 | 84 |
| 32.4 | 34 |
| 19.8 | 30 |
| 49.4 | 27 |
| 48.8 | 27 |
| 27.0 | 21 |
| 40.2 | 20 |
| 59.1 | 18 |
| 52.4 | 15 |

Structure:
Cell lengths 5.3701, 5.3701, 9.9208 Å; angles 90.00, 90.00, 139.36 degrees
Sites, in units of the cell vectors:
V 0.1444 0.8556 0.5587
V 0.1444 0.8556 0.9413
V 0.8556 0.1444 0.0587
V 0.8556 0.1444 0.4413
O 0.3278 0.6722 0.0361
O 0.3278 0.6722 0.4639
O 0.6722 0.3278 0.5361
O 0.6722 0.3278 0.9639
F 0.0388 0.9612 0.1179
F 0.0388 0.9612 0.3821
F 0.2070 0.7930 0.7500
F 0.7930 0.2070 0.2500
F 0.9612 0.0388 0.6179
F 0.9612 0.0388 0.8821


No. 6
Sr2AlV11O22: theoretical powder diffractogram (λ = 1.5418 Å (Cu Kα)), based on the GGA+U geometry in the Materials Project.
No peak broadening, texture or thermal motion is included.

Most intense lines, 2θ = 10–90°, most intense first:
| 2theta | I_rel |
| --- | --- |
| 54.8 | 100 |
| 33.2 | 97 |
| 32.1 | 94 |
| 38.0 | 56 |
| 41.0 | 54 |
| 63.0 | 49 |
| 33.5 | 47 |
| 31.9 | 47 |
| 30.3 | 44 |
| 26.6 | 43 |

Structure:
Cell lengths 13.3793, 5.9014, 5.9014 Å; angles 59.18, 90.00, 90.00 degrees
Sites, in units of the cell vectors:
Sr 0.0000 0.0000 0.0000
Sr 0.5000 0.3322 0.3322
Al 0.5000 0.9985 0.9985
V 0.0000 0.3315 0.3315
V 0.1035 0.6644 0.6644
V 0.2495 0.1660 0.1660
V 0.2520 0.1576 0.6726
V 0.2520 0.6726 0.1576
V 0.3989 0.6651 0.6651
V 0.6011 0.6651 0.6651
V 0.7480 0.1576 0.6726
V 0.7480 0.6726 0.1576
V 0.7505 0.1660 0.1660
V 0.8965 0.6644 0.6644
O 0.0000 0.5120 0.9618
O 0.0000 0.5174 0.5174
O 0.0000 0.9618 0.5120
O 0.1670 0.3272 0.3272
O 0.1679 0.8390 0.8390
O 0.1721 0.3098 0.8443
O 0.1721 0.8443 0.3098
O 0.3283 0.4847 0.4847
O 0.3290 0.0099 0.4883
O 0.3290 0.4883 0.0099
O 0.3389 0.0046 0.0046
O 0.5000 0.3538 0.8188
O 0.5000 0.8188 0.3538
O 0.5000 0.8251 0.8251
O 0.6611 0.0046 0.0046
O 0.6710 0.0099 0.4883
O 0.6710 0.4883 0.0099
O 0.6717 0.4847 0.4847
O 0.8279 0.3098 0.8443
O 0.8279 0.8443 0.3098
O 0.8321 0.8390 0.8390
O 0.8330 0.3272 0.3272


No. 7
LiCr2O4: theoretical powder diffractogram (λ = 1.5418 Å (Cu Kα)), based on the GGA+U geometry in the Materials Project.
No peak broadening, texture or thermal motion is included.

Most intense lines, 2θ = 10–90°, most intense first:
| 2theta | I_rel |
| --- | --- |
| 17.8 | 100 |
| 39.8 | 35 |
| 51.4 | 22 |
| 35.3 | 22 |
| 39.7 | 17 |
| 51.1 | 16 |
| 63.3 | 15 |
| 66.4 | 8 |
| 67.1 | 5 |
| 66.2 | 4 |

Structure:
Cell lengths 5.7951, 5.7951, 5.0874 Å; angles 90.30, 90.30, 60.89 degrees
Sites, in units of the cell vectors:
Li 0.1405 0.8595 0.7500
Li 0.8595 0.1405 0.2500
Cr 0.1412 0.3899 0.2492
Cr 0.3899 0.1412 0.7492
Cr 0.6101 0.8588 0.2508
Cr 0.8588 0.6101 0.7508
O 0.0375 0.2647 0.5710
O 0.2191 0.4909 0.9075
O 0.2647 0.0375 0.0710
O 0.4909 0.2191 0.4075
O 0.5091 0.7809 0.5925
O 0.7353 0.9625 0.9290
O 0.7809 0.5091 0.0925
O 0.9625 0.7353 0.4290


Q: Which formula does entry 7 have?
A: LiCr2O4


Q: Which formula does entry 4 have?
A: MgCo5P8O28